This entry pairs a crystal structure of Ag4As3 with its simulated X-ray powder pattern. Radiation: CuKα. Structure: a cell relaxed with GGA-PBE.
No peak broadening, texture or thermal motion is included.

Principal peaks in the range 5 to 70 degrees two-theta, by angle:
| 2theta | I_rel |
| --- | --- |
| 25.89 | 2 |
| 29.59 | 3 |
| 33.36 | 100 |
| 35.53 | 1 |
| 37.43 | 1 |
| 44.27 | 45 |
| 51.32 | 28 |
| 56.54 | 21 |
| 59.33 | 1 |
| 68.33 | 4 |

Cell and atoms:
Lattice parameters (Å, degrees): 9.896 9.896 9.896 23.86 23.86 23.86
Atoms (fractional coordinates):
Ag 0.140 0.140 0.140
Ag 0.284 0.284 0.284
Ag 0.716 0.716 0.716
Ag 0.860 0.860 0.860
As 0.000 0.000 0.000
As 0.429 0.429 0.429
As 0.571 0.571 0.571



This entry pairs a crystal structure of YTm2In3Ir2 with its simulated X-ray powder pattern. Radiation: CuKα. Structure: a cell relaxed with GGA-PBE.
No peak broadening, texture or thermal motion is included.

Principal peaks in the range 5 to 70 degrees two-theta, by angle:
| 2theta | I_rel |
| --- | --- |
| 13.47 | 34 |
| 34.20 | 100 |
| 36.17 | 70 |
| 36.91 | 70 |
| 41.23 | 21 |
| 44.19 | 18 |
| 50.29 | 18 |
| 56.48 | 12 |
| 63.50 | 27 |
| 67.22 | 13 |

Cell and atoms:
Lattice parameters (Å, degrees): 3.629 13.158 7.576 90.00 90.00 90.00
Atoms (fractional coordinates):
Y 0.000 0.000 0.000
Y 0.000 0.500 0.500
Tm 0.000 0.211 0.368
Tm 0.000 0.289 0.868
Tm 0.000 0.711 0.868
Tm 0.000 0.789 0.368
In 0.500 0.000 0.345
In 0.500 0.118 0.696
In 0.500 0.382 0.196
In 0.500 0.500 0.845
In 0.500 0.618 0.196
In 0.500 0.882 0.696
Ir 0.500 0.169 0.081
Ir 0.500 0.331 0.581
Ir 0.500 0.669 0.581
Ir 0.500 0.831 0.081



This entry pairs a crystal structure of KTmNO with its simulated X-ray powder pattern. Radiation: CuKα. Structure: a cell relaxed with GGA-PBE.
No peak broadening, texture or thermal motion is included.

Principal peaks in the range 5 to 70 degrees two-theta, by angle:
| 2theta | I_rel |
| --- | --- |
| 12.46 | 64 |
| 19.03 | 73 |
| 22.90 | 34 |
| 26.15 | 56 |
| 28.89 | 52 |
| 28.99 | 75 |
| 29.94 | 100 |
| 37.24 | 53 |
| 44.83 | 32 |
| 55.96 | 39 |

Cell and atoms:
Lattice parameters (Å, degrees): 3.883 7.104 6.181 90.00 90.00 90.00
Atoms (fractional coordinates):
K 0.000 0.168 0.000
K 0.000 0.832 0.500
Tm 0.500 0.350 0.527
Tm 0.500 0.650 0.027
N 0.000 0.210 0.451
N 0.000 0.790 0.951
O 0.500 0.393 0.863
O 0.500 0.607 0.363